1.
Structure and calculated PXRD pattern of Y2LuIn3Ir2 (a cell relaxed with PBE; Cu Kα).
Peak positions follow from Bragg's law for the DFT cell and can differ from measured ones.

Main lines, most intense first (2θ = 10–80°):
2.630 Å, 34.09 deg, rel. 100, (1 3 1)
2.486 Å, 36.13 deg, rel. 73, (0 1 3)
2.442 Å, 36.80 deg, rel. 69, (1 4 0)
6.580 Å, 13.46 deg, rel. 35, (0 1 1)
1.824 Å, 50.01 deg, rel. 30, (2 0 0)
1.470 Å, 63.24 deg, rel. 28, (2 1 3)

Atomic structure:
Unit cell a=3.647 b=13.143 c=7.602 alpha=90.00 beta=90.00 gamma=90.00
Space group Amm2 (No. 38)
Unique sites:
Y: 0.000 0.210 0.000 (multiplicity 4)
Lu: 0.000 0.000 0.633 (multiplicity 2)
In: 0.500 0.000 0.973 (multiplicity 2)
In: 0.500 0.117 0.328 (multiplicity 4)
Ir: 0.500 0.162 0.708 (multiplicity 4)

---

2.
Structure and calculated PXRD pattern of Th3Ni3Bi4 (a cell relaxed with PBE; Cu Kα).
Peak positions follow from Bragg's law for the DFT cell and can differ from measured ones.

Main lines, most intense first (2θ = 10–80°):
2.626 Å, 34.14 deg, rel. 100, (3 2 1)
3.107 Å, 28.73 deg, rel. 68, (3 1 0)
2.197 Å, 41.08 deg, rel. 26, (4 2 0)
1.594 Å, 57.84 deg, rel. 22, (6 1 1)
2.006 Å, 45.21 deg, rel. 19, (4 2 2)
1.554 Å, 59.49 deg, rel. 13, (6 2 0)

Atomic structure:
Unit cell a=9.827 b=9.827 c=9.827 alpha=90.00 beta=90.00 gamma=90.00
Space group I-43d (No. 220)
Unique sites:
Th: 0.000 0.250 0.375 (multiplicity 12)
Ni: 0.000 0.250 0.875 (multiplicity 12)
Bi: 0.083 0.083 0.083 (multiplicity 16)

---

3.
Structure and calculated PXRD pattern of K4In3Au4 (a cell relaxed with PBE; Cu Kα).
Peak positions follow from Bragg's law for the DFT cell and can differ from measured ones.

Main lines, most intense first (2θ = 10–80°):
7.850 Å, 11.27 deg, rel. 100, (1 0 0)
2.502 Å, 35.90 deg, rel. 72, (2 1 1)
2.281 Å, 39.51 deg, rel. 53, (3 0 1)
2.967 Å, 30.12 deg, rel. 38, (2 1 0)
3.000 Å, 29.78 deg, rel. 37, (2 0 1)
4.003 Å, 22.21 deg, rel. 34, (1 0 1)

Atomic structure:
Unit cell a=9.0642 b=9.0642 c=4.6531 alpha=90.00 beta=90.00 gamma=120.00
Space group P-6m2 (No. 187)
Unique sites:
K: 0.0000 0.0000 0.0000 (multiplicity 1)
K: 0.3823 0.1912 0.5000 (multiplicity 3)
In: 0.0839 0.5420 0.0000 (multiplicity 3)
Au: 0.2223 0.4447 0.5000 (multiplicity 3)
Au: 0.6667 0.3333 0.0000 (multiplicity 1)

---

4.
Structure and calculated PXRD pattern of KZrTe2AuSe (a cell relaxed with PBE; Cu Kα).
Peak positions follow from Bragg's law for the DFT cell and can differ from measured ones.

Main lines, most intense first (2θ = 10–80°):
7.922 Å, 11.17 deg, rel. 100, (1 0 -1)
2.880 Å, 31.05 deg, rel. 39, (2 1 0)
2.222 Å, 40.59 deg, rel. 25, (2 1 -4)
3.246 Å, 27.47 deg, rel. 20, (1 1 -2)
2.731 Å, 32.80 deg, rel. 19, (1 1 -3)
2.359 Å, 38.15 deg, rel. 17, (3 1 -1)

Atomic structure:
Unit cell a=8.695 b=4.116 c=10.956 alpha=90.00 beta=111.97 gamma=90.00
Space group P2_1/m (No. 11)
Unique sites:
K: 0.228 0.250 0.273 (multiplicity 2)
Zr: 0.299 0.750 0.822 (multiplicity 2)
Te: 0.280 0.750 0.555 (multiplicity 2)
Te: 0.433 0.750 0.120 (multiplicity 2)
Au: 0.084 0.250 0.603 (multiplicity 2)
Se: 0.105 0.250 0.847 (multiplicity 2)

---

5.
Structure and calculated PXRD pattern of Cu2Ag5 (a cell relaxed with PBE; Cu Kα).
Peak positions follow from Bragg's law for the DFT cell and can differ from measured ones.

Main lines, most intense first (2θ = 10–80°):
2.322 Å, 38.78 deg, rel. 100, (1 1 -2)
2.040 Å, 44.40 deg, rel. 45, (3 1 1)
2.333 Å, 38.59 deg, rel. 34, (2 0 3)
1.962 Å, 46.27 deg, rel. 19, (2 0 -4)
1.225 Å, 77.97 deg, rel. 15, (2 2 3)
1.417 Å, 65.92 deg, rel. 13, (1 1 5)

Atomic structure:
Unit cell a=9.499 b=2.881 c=8.378 alpha=90.00 beta=93.91 gamma=90.00
Space group C2/m (No. 12)
Unique sites:
Cu: 0.068 0.000 0.284 (multiplicity 4)
Ag: 0.000 0.500 0.000 (multiplicity 2)
Ag: 0.138 0.500 0.565 (multiplicity 4)
Ag: 0.221 0.000 0.849 (multiplicity 4)

---

6.
Structure and calculated PXRD pattern of Na2Cd11 (a cell relaxed with PBE; Cu Kα).
Peak positions follow from Bragg's law for the DFT cell and can differ from measured ones.

Main lines, most intense first (2θ = 10–80°):
2.332 Å, 38.60 deg, rel. 100, (3 2 2)
2.570 Å, 34.91 deg, rel. 47, (3 2 1)
2.404 Å, 37.40 deg, rel. 39, (4 0 0)
4.301 Å, 20.65 deg, rel. 23, (2 0 1)
2.776 Å, 32.24 deg, rel. 19, (2 2 2)
6.800 Å, 13.02 deg, rel. 19, (1 1 0)

Atomic structure:
Unit cell a=9.617 b=9.617 c=9.617 alpha=90.00 beta=90.00 gamma=90.00
Space group Pm-3 (No. 200)
Unique sites:
Na: 0.000 0.302 0.500 (multiplicity 6)
Cd: 0.000 0.000 0.232 (multiplicity 6)
Cd: 0.000 0.500 0.158 (multiplicity 6)
Cd: 0.219 0.219 0.219 (multiplicity 8)
Cd: 0.231 0.500 0.345 (multiplicity 12)
Cd: 0.500 0.500 0.500 (multiplicity 1)